Starting from a GGA-PBE-relaxed structure, the XRD peak list of Sm3Ga2Co2 was simulated for copper Kα.
Lines closer than 0.1° are merged.

Cell and atoms:
```
data_Sm3Ga2Co2
_space_group_name_H-M_alt 'I m m m'
_space_group_IT_number 71
_space_group_name_Hall '-I 2 2'
_cell_length_a 4.0978
_cell_length_b 4.3181
_cell_length_c 17.3755
_cell_angle_alpha 90.00
_cell_angle_beta 90.00
_cell_angle_gamma 90.00
loop_
_atom_site_label
_atom_site_type_symbol
_atom_site_fract_x
_atom_site_fract_y
_atom_site_fract_z
_atom_site_occupancy
Sm1 Sm 0.0000 0.0000 0.0000 1
Sm2 Sm 0.0000 0.5000 0.1771 1
Ga1 Ga 0.0000 0.5000 0.3654 1
Co1 Co 0.0000 0.0000 0.4359 1
```

Largest 12 diffraction maxima, sorted by position, 2θ from 10° to 90°:
2θ (°)  I/Imax  hkl
25.7  35  0 1 3
30.9  21  0 0 6
31.8  100  1 1 2
33.8  55  1 0 5
36.6  48  1 1 4
41.8  32  0 2 0
42.0  18  0 1 7
43.6  16  1 1 6
44.2  27  2 0 0
51.9  30  0 1 9
54.9  36  1 2 5
62.5  19  2 2 0



Starting from a GGA-PBE-relaxed structure, the XRD peak list of Sm8GaCo2 was simulated for copper Kα.
Lines closer than 0.1° are merged.

Cell and atoms:
```
data_Sm8GaCo2
_space_group_name_H-M_alt 'C 1 2/m 1'
_space_group_IT_number 12
_space_group_name_Hall '-C 2y'
_cell_length_a 8.6188
_cell_length_b 13.3414
_cell_length_c 5.4500
_cell_angle_alpha 90.00
_cell_angle_beta 104.72
_cell_angle_gamma 90.00
loop_
_atom_site_label
_atom_site_type_symbol
_atom_site_fract_x
_atom_site_fract_y
_atom_site_fract_z
_atom_site_occupancy
Sm1 Sm 0.0000 0.2431 0.0000 1
Sm2 Sm 0.1159 0.5000 0.8075 1
Sm3 Sm 0.2021 0.1277 0.5691 1
Ga1 Ga 0.0000 0.0000 0.0000 1
Co1 Co 0.0000 0.2984 0.5000 1
```

Largest 12 diffraction maxima, sorted by position, 2θ from 10° to 90°:
2θ (°)  I/Imax  hkl
26.7  20  1 3 -1
27.2  25  2 2 -1
30.5  74  2 0 1
31.7  100  0 4 1
33.1  64  3 1 -1
33.6  49  1 1 -2
34.4  75  2 4 0
36.7  23  0 2 2
37.9  20  2 2 -2
38.1  53  3 3 0
53.2  36  2 4 2
64.3  24  2 8 1



Starting from a GGA-PBE-relaxed structure, the XRD peak list of Sm3GaCo was simulated for copper Kα.
Lines closer than 0.1° are merged.

Cell and atoms:
```
data_Sm3GaCo
_space_group_name_H-M_alt 'C 1 2/m 1'
_space_group_IT_number 12
_space_group_name_Hall '-C 2y'
_cell_length_a 10.1987
_cell_length_b 6.4023
_cell_length_c 8.5595
_cell_angle_alpha 90.00
_cell_angle_beta 115.23
_cell_angle_gamma 90.00
loop_
_atom_site_label
_atom_site_type_symbol
_atom_site_fract_x
_atom_site_fract_y
_atom_site_fract_z
_atom_site_occupancy
Sm1 Sm 0.0156 0.0000 0.2252 1
Sm2 Sm 0.1862 0.5000 0.8628 1
Sm3 Sm 0.2031 0.5000 0.3324 1
Ga1 Ga 0.0000 0.2962 0.5000 1
Co1 Co 0.0000 0.3177 0.0000 1
```

Largest 12 diffraction maxima, sorted by position, 2θ from 10° to 90°:
2θ (°)  I/Imax  hkl
27.9  48  0 2 0
31.7  96  3 1 -2
31.9  100  1 1 2
32.3  67  3 1 0
34.1  16  2 2 0
36.4  90  0 2 2
39.1  17  4 0 0
42.2  33  2 0 -4
52.2  37  3 3 0
54.3  20  1 1 4
61.8  17  6 2 -2
62.1  26  4 2 2



Starting from a GGA-PBE-relaxed structure, the XRD peak list of Sm2Ga2Co15 was simulated for copper Kα.
Lines closer than 0.1° are merged.

Cell and atoms:
```
data_Sm2Ga2Co15
_space_group_name_H-M_alt 'R -3 m'
_space_group_IT_number 166
_space_group_name_Hall '-R 3 2"'
_cell_length_a 8.4105
_cell_length_b 8.4105
_cell_length_c 12.2593
_cell_angle_alpha 90.00
_cell_angle_beta 90.00
_cell_angle_gamma 120.00
loop_
_atom_site_label
_atom_site_type_symbol
_atom_site_fract_x
_atom_site_fract_y
_atom_site_fract_z
_atom_site_occupancy
Sm1 Sm 0.0000 0.0000 0.1491 1
Ga1 Ga 0.0000 0.0000 0.3937 1
Co1 Co 0.0000 0.2871 0.5000 1
Co2 Co 0.0000 0.5000 0.0000 1
Co3 Co 0.0001 0.5001 0.3494 1
```

Largest 12 diffraction maxima, sorted by position, 2θ from 10° to 90°:
2θ (°)  I/Imax  hkl
30.5  31  1 1 3
31.7  19  1 0 4
37.0  50  3 0 0
38.4  52  0 2 4
43.0  80  2 2 0
43.3  100  3 0 3
44.2  32  2 1 4
44.3  33  0 0 6
44.5  17  2 0 5
48.7  31  2 2 3
63.4  31  3 2 4
78.8  20  6 0 0



Starting from a GGA-PBE-relaxed structure, the XRD peak list of GaCo2Sn was simulated for copper Kα.
Lines closer than 0.1° are merged.

Cell and atoms:
```
data_GaCo2Sn
_space_group_name_H-M_alt 'P 4/m m m'
_space_group_IT_number 123
_space_group_name_Hall '-P 4 2'
_cell_length_a 4.0999
_cell_length_b 4.0999
_cell_length_c 3.2667
_cell_angle_alpha 90.00
_cell_angle_beta 90.00
_cell_angle_gamma 90.00
loop_
_atom_site_label
_atom_site_type_symbol
_atom_site_fract_x
_atom_site_fract_y
_atom_site_fract_z
_atom_site_occupancy
Ga1 Ga 0.0000 0.0000 0.0000 1
Co1 Co 0.0000 0.5000 0.5000 1
Sn1 Sn 0.5000 0.5000 0.0000 1
```

Largest 12 diffraction maxima, sorted by position, 2θ from 10° to 90°:
2θ (°)  I/Imax  hkl
21.7  6  1 0 0
27.3  4  0 0 1
30.8  5  1 1 0
35.1  4  1 0 1
41.7  100  1 1 1
44.2  42  2 0 0
52.7  3  2 0 1
56.3  10  0 0 2
57.7  2  2 1 1
64.3  13  2 2 0
74.2  17  2 0 2
79.5  29  3 1 1



Starting from a GGA-PBE-relaxed structure, the XRD peak list of SrGaCoSn2 was simulated for copper Kα.
Lines closer than 0.1° are merged.

Cell and atoms:
```
data_SrGaCoSn2
_space_group_name_H-M_alt 'P 4/m m m'
_space_group_IT_number 123
_space_group_name_Hall '-P 4 2'
_cell_length_a 5.0490
_cell_length_b 5.0490
_cell_length_c 4.7181
_cell_angle_alpha 90.00
_cell_angle_beta 90.00
_cell_angle_gamma 90.00
loop_
_atom_site_label
_atom_site_type_symbol
_atom_site_fract_x
_atom_site_fract_y
_atom_site_fract_z
_atom_site_occupancy
Sr1 Sr 0.0000 0.0000 0.0000 1
Ga1 Ga 0.5000 0.5000 0.0000 1
Co1 Co 0.5000 0.5000 0.5000 1
Sn1 Sn 0.0000 0.5000 0.5000 1
```

Largest 12 diffraction maxima, sorted by position, 2θ from 10° to 90°:
2θ (°)  I/Imax  hkl
18.8  15  0 0 1
31.4  100  1 1 1
35.6  67  2 0 0
38.1  28  0 0 2
51.2  24  2 2 0
53.1  42  2 0 2
61.3  31  3 1 1
64.8  13  1 1 3
65.6  23  2 2 2
86.1  11  4 2 0
87.0  13  3 1 3
87.7  11  4 0 2